# AcBi3Au8
Computed X-ray powder pattern, Cu Ka. Input: the PBE geometry in Alexandria.
Lines closer than 0.1° are merged.

Top 10 peaks for 10° ≤ 2θ ≤ 80°, by intensity:
- 2θ = 36.46°, rel. 100, hkl 1 1 6
- 2θ = 38.25°, rel. 59, hkl 0 2 4
- 2θ = 36.61°, rel. 51, hkl 2 0 2
- 2θ = 36.15°, rel. 50, hkl 1 0 10
- 2θ = 64.82°, rel. 30, hkl 2 2 0
- 2θ = 31.09°, rel. 29, hkl 1 1 0
- 2θ = 64.01°, rel. 28, hkl 0 2 16
- 2θ = 30.73°, rel. 27, hkl 0 1 8
- 2θ = 58.87°, rel. 26, hkl 3 0 6
- 2θ = 58.65°, rel. 25, hkl 2 1 10

```
data_AcBi3Au8
_chemical_formula_sum 'Ac3 Bi9 Au24'
_space_group_name_H-M_alt 'R 3 m'
_space_group_IT_number 160
_space_group_name_Hall 'R 3 -2"'
_cell_length_a 5.7535
_cell_length_b 5.7535
_cell_length_c 28.6689
_cell_angle_alpha 90.00
_cell_angle_beta 90.00
_cell_angle_gamma 120.00
loop_
_atom_site_label
_atom_site_type_symbol
_atom_site_fract_x
_atom_site_fract_y
_atom_site_fract_z
Ac1 Ac 0.0000 0.0000 0.0000
Bi1 Bi 0.0000 0.0000 0.1306
Bi2 Bi 0.0000 0.0000 0.4963
Bi3 Bi 0.0000 0.0000 0.6149
Au1 Au 0.0000 0.0000 0.3123
Au2 Au 0.0000 0.0000 0.8117
Au3 Au 0.0011 0.5005 0.5619
Au4 Au 0.1672 0.3344 0.3956
```

=====

# LiSb2
Computed X-ray powder pattern, Cu Ka. Input: the PBE geometry in Alexandria.
Lines closer than 0.1° are merged.

Top 10 peaks for 10° ≤ 2θ ≤ 80°, by intensity:
- 2θ = 29.59°, rel. 100, hkl 2 1 0
- 2θ = 41.27°, rel. 81, hkl 2 1 1
- 2θ = 28.11°, rel. 46, hkl 0 0 1
- 2θ = 18.59°, rel. 24, hkl 1 1 0
- 2θ = 42.35°, rel. 21, hkl 3 1 0
- 2θ = 51.60°, rel. 20, hkl 3 1 1
- 2θ = 66.56°, rel. 19, hkl 2 1 2
- 2θ = 65.64°, rel. 16, hkl 3 3 1
- 2θ = 33.91°, rel. 14, hkl 1 1 1
- 2θ = 26.41°, rel. 13, hkl 2 0 0

```
data_LiSb2
_chemical_formula_sum 'Li2 Sb4'
_space_group_name_H-M_alt 'P 4/m b m'
_space_group_IT_number 127
_space_group_name_Hall '-P 4 2ab'
_cell_length_a 6.749
_cell_length_b 6.749
_cell_length_c 3.175
_cell_angle_alpha 90.00
_cell_angle_beta 90.00
_cell_angle_gamma 90.00
loop_
_atom_site_label
_atom_site_type_symbol
_atom_site_fract_x
_atom_site_fract_y
_atom_site_fract_z
Li1 Li 0.000 0.000 0.000
Sb1 Sb 0.154 0.346 0.500
```

=====

# Pr12Si5Sn
Computed X-ray powder pattern, Cu Ka. Input: the PBE geometry in Alexandria.
Lines closer than 0.1° are merged.

Top 10 peaks for 10° ≤ 2θ ≤ 80°, by intensity:
- 2θ = 30.43°, rel. 100, hkl 2 2 2
- 2θ = 32.28°, rel. 45, hkl 2 1 3
- 2θ = 33.45°, rel. 36, hkl 0 0 4
- 2θ = 32.80°, rel. 33, hkl 1 3 2
- 2θ = 27.87°, rel. 28, hkl 0 3 1
- 2θ = 36.60°, rel. 23, hkl 4 0 0
- 2θ = 26.55°, rel. 22, hkl 0 1 3
- 2θ = 28.68°, rel. 20, hkl 3 1 0
- 2θ = 56.99°, rel. 18, hkl 5 3 2
- 2θ = 24.61°, rel. 17, hkl 2 0 2

```
data_Pr12Si5Sn
_chemical_formula_sum 'Pr24 Si10 Sn2'
_space_group_name_H-M_alt 'I m m m'
_space_group_IT_number 71
_space_group_name_Hall '-I 2 2'
_cell_length_a 9.821
_cell_length_b 10.065
_cell_length_c 10.697
_cell_angle_alpha 90.00
_cell_angle_beta 90.00
_cell_angle_gamma 90.00
loop_
_atom_site_label
_atom_site_type_symbol
_atom_site_fract_x
_atom_site_fract_y
_atom_site_fract_z
Pr1 Pr 0.000 0.199 0.230
Pr2 Pr 0.206 0.500 0.180
Pr3 Pr 0.228 0.317 0.500
Si1 Si 0.000 0.000 0.000
Si2 Si 0.000 0.379 0.000
Si3 Si 0.000 0.500 0.389
Sn1 Sn 0.000 0.000 0.500
```

=====

# Rb2Pu2AuSe6
Computed X-ray powder pattern, Cu Ka. Input: the PBE geometry in Alexandria.
Lines closer than 0.1° are merged.

Top 10 peaks for 10° ≤ 2θ ≤ 80°, by intensity:
- 2θ = 10.74°, rel. 100, hkl 0 0 1
- 2θ = 28.02°, rel. 78, hkl 1 3 1
- 2θ = 30.17°, rel. 31, hkl 2 0 -2
- 2θ = 38.10°, rel. 24, hkl 1 3 -3
- 2θ = 44.95°, rel. 23, hkl 3 3 -1
- 2θ = 35.00°, rel. 20, hkl 1 3 2
- 2θ = 24.30°, rel. 16, hkl 1 3 0
- 2θ = 39.12°, rel. 14, hkl 2 0 2
- 2θ = 40.95°, rel. 13, hkl 0 6 0
- 2θ = 43.94°, rel. 13, hkl 0 0 4

```
data_Rb2Pu2AuSe6
_chemical_formula_sum 'Rb4 Pu4 Au2 Se12'
_space_group_name_H-M_alt 'C 1 2/m 1'
_space_group_IT_number 12
_space_group_name_Hall '-C 2y'
_cell_length_a 6.805
_cell_length_b 13.224
_cell_length_c 8.512
_cell_angle_alpha 90.00
_cell_angle_beta 104.64
_cell_angle_gamma 90.00
loop_
_atom_site_label
_atom_site_type_symbol
_atom_site_fract_x
_atom_site_fract_y
_atom_site_fract_z
Rb1 Rb 0.000 0.150 0.000
Pu1 Pu 0.000 0.337 0.500
Au1 Au 0.000 0.000 0.500
Se1 Se 0.240 0.189 0.697
Se2 Se 0.243 0.500 0.673
```

=====

# Mg4W5
Computed X-ray powder pattern, Cu Ka. Input: the PBE geometry in Alexandria.
Lines closer than 0.1° are merged.

Top 10 peaks for 10° ≤ 2θ ≤ 80°, by intensity:
- 2θ = 38.86°, rel. 100, hkl 3 0 1
- 2θ = 13.34°, rel. 59, hkl 1 1 0
- 2θ = 40.79°, rel. 44, hkl 3 3 0
- 2θ = 72.96°, rel. 31, hkl 6 3 1
- 2θ = 33.62°, rel. 29, hkl 2 1 1
- 2θ = 69.04°, rel. 19, hkl 3 3 2
- 2θ = 59.05°, rel. 15, hkl 6 0 0
- 2θ = 26.87°, rel. 14, hkl 2 2 0
- 2θ = 53.09°, rel. 10, hkl 0 0 2
- 2θ = 47.87°, rel. 10, hkl 4 1 1

```
data_Mg4W5
_chemical_formula_sum 'Mg8 W10'
_space_group_name_H-M_alt 'I 4/m m m'
_space_group_IT_number 139
_space_group_name_Hall '-I 4 2'
_cell_length_a 9.386
_cell_length_b 9.386
_cell_length_c 3.450
_cell_angle_alpha 90.00
_cell_angle_beta 90.00
_cell_angle_gamma 90.00
loop_
_atom_site_label
_atom_site_type_symbol
_atom_site_fract_x
_atom_site_fract_y
_atom_site_fract_z
Mg1 Mg 0.000 0.327 0.000
W1 W 0.000 0.000 0.000
W2 W 0.169 0.169 0.500
```

=====

# AlTl2In2F6
Computed X-ray powder pattern, Cu Ka. Input: the PBE geometry in Alexandria.
Lines closer than 0.1° are merged.

Top 10 peaks for 10° ≤ 2θ ≤ 80°, by intensity:
- 2θ = 26.78°, rel. 100, hkl 1 3 -1
- 2θ = 33.37°, rel. 76, hkl 1 3 1
- 2θ = 19.76°, rel. 37, hkl 1 1 -1
- 2θ = 31.36°, rel. 31, hkl 2 0 0
- 2θ = 37.94°, rel. 30, hkl 2 0 -2
- 2θ = 12.63°, rel. 29, hkl 0 2 0
- 2θ = 37.28°, rel. 28, hkl 1 5 -1
- 2θ = 27.93°, rel. 24, hkl 1 1 1
- 2θ = 48.84°, rel. 23, hkl 3 3 -1
- 2θ = 34.96°, rel. 21, hkl 0 0 2

```
data_AlTl2In2F6
_chemical_formula_sum 'Al2 Tl4 In4 F12'
_space_group_name_H-M_alt 'C 1 2/m 1'
_space_group_IT_number 12
_space_group_name_Hall '-C 2y'
_cell_length_a 6.102
_cell_length_b 14.020
_cell_length_c 5.490
_cell_angle_alpha 90.00
_cell_angle_beta 110.78
_cell_angle_gamma 90.00
loop_
_atom_site_label
_atom_site_type_symbol
_atom_site_fract_x
_atom_site_fract_y
_atom_site_fract_z
Al1 Al 0.000 0.000 0.000
Tl1 Tl 0.000 0.329 0.000
In1 In 0.000 0.154 0.500
F1 F 0.164 0.000 0.773
F2 F 0.192 0.093 0.201
```

=====

# Sr2Ac5Ge4
Computed X-ray powder pattern, Cu Ka. Input: the PBE geometry in Alexandria.
Lines closer than 0.1° are merged.

Top 10 peaks for 10° ≤ 2θ ≤ 80°, by intensity:
- 2θ = 23.18°, rel. 100, hkl 2 0 -2
- 2θ = 25.55°, rel. 98, hkl 3 1 1
- 2θ = 30.73°, rel. 95, hkl 1 1 2
- 2θ = 28.81°, rel. 78, hkl 8 0 -1
- 2θ = 12.82°, rel. 73, hkl 2 0 -1
- 2θ = 28.64°, rel. 45, hkl 5 1 -1
- 2θ = 38.75°, rel. 38, hkl 9 1 1
- 2θ = 22.80°, rel. 36, hkl 3 1 0
- 2θ = 41.61°, rel. 35, hkl 0 2 0
- 2θ = 46.25°, rel. 34, hkl 7 1 -3

```
data_Sr2Ac5Ge4
_chemical_formula_sum 'Sr4 Ac10 Ge8'
_space_group_name_H-M_alt 'C 1 2/m 1'
_space_group_IT_number 12
_space_group_name_Hall '-C 2y'
_cell_length_a 26.644
_cell_length_b 4.341
_cell_length_c 7.958
_cell_angle_alpha 90.00
_cell_angle_beta 91.42
_cell_angle_gamma 90.00
loop_
_atom_site_label
_atom_site_type_symbol
_atom_site_fract_x
_atom_site_fract_y
_atom_site_fract_z
Sr1 Sr 0.080 0.000 0.115
Ac1 Ac 0.000 0.500 0.500
Ac2 Ac 0.144 0.000 0.698
Ac3 Ac 0.226 0.000 0.211
Ge1 Ge 0.032 0.000 0.754
Ge2 Ge 0.171 0.500 0.979
```

=====

# SrYbAl3SiN4O3
Computed X-ray powder pattern, Cu Ka. Input: the PBE geometry in Alexandria.
Lines closer than 0.1° are merged.

Top 10 peaks for 10° ≤ 2θ ≤ 80°, by intensity:
- 2θ = 31.32°, rel. 100, hkl 1 0 3
- 2θ = 34.22°, rel. 96, hkl 1 1 2
- 2θ = 29.21°, rel. 71, hkl 1 1 0
- 2θ = 18.89°, rel. 56, hkl 1 0 1
- 2θ = 35.02°, rel. 43, hkl 2 0 1
- 2θ = 53.13°, rel. 41, hkl 2 1 3
- 2θ = 57.07°, rel. 38, hkl 2 0 5
- 2θ = 60.58°, rel. 30, hkl 2 2 0
- 2θ = 55.07°, rel. 25, hkl 3 0 2
- 2θ = 16.74°, rel. 24, hkl 1 0 0

```
data_SrYbAl3SiN4O3
_chemical_formula_sum 'Sr2 Yb2 Al6 Si2 N8 O6'
_space_group_name_H-M_alt 'P 63 m c'
_space_group_IT_number 186
_space_group_name_Hall 'P 6c -2c'
_cell_length_a 6.1142
_cell_length_b 6.1142
_cell_length_c 10.1765
_cell_angle_alpha 90.00
_cell_angle_beta 90.00
_cell_angle_gamma 120.00
loop_
_atom_site_label
_atom_site_type_symbol
_atom_site_fract_x
_atom_site_fract_y
_atom_site_fract_z
Sr1 Sr 0.3333 0.6667 0.0000
Yb1 Yb 0.3333 0.6667 0.3775
Al1 Al 0.1654 0.3308 0.6822
Si1 Si 0.0000 0.0000 0.4434
N1 N 0.0000 0.0000 0.2637
N2 N 0.1530 0.3060 0.5017
O1 O 0.0214 0.5107 0.7351
```